Record 1
Calculated powder diffractogram
Compound: Ba2LaC3O9F
Radiation: Cu Kα (λ = 1.5418 Å)
Structure: the GGA-PBE geometry in the Materials Project
Neutral-atom scattering factors, no anomalous dispersion.

Atomic structure:
```
Ba2LaC3O9F
1.0
6.7267 0.0000 0.0000
0.0000 5.1796 0.0000
-2.8866 0.0000 13.0193
Ba La C O F
4 2 6 18 2
Direct
0.2151 0.2500 0.4250
0.2726 0.2500 0.0832
0.7274 0.7500 0.9168
0.7849 0.7500 0.5750
0.2266 0.2500 0.7384
0.7734 0.7500 0.2616
0.2154 0.7500 0.2274
0.2542 0.7500 0.9266
0.3316 0.7500 0.6280
0.6684 0.2500 0.3720
0.7458 0.2500 0.0734
0.7846 0.2500 0.7726
0.1225 0.5344 0.2380
0.1225 0.9656 0.2380
0.1352 0.7500 0.9904
0.1918 0.7500 0.6829
0.3209 0.5324 0.8971
0.3209 0.9676 0.8971
0.3904 0.7500 0.2023
0.4012 0.5314 0.6038
0.4012 0.9686 0.6038
0.5988 0.0314 0.3962
0.5988 0.4686 0.3962
0.6096 0.2500 0.7977
0.6791 0.0324 0.1029
0.6791 0.4676 0.1029
0.8082 0.2500 0.3171
0.8648 0.2500 0.0096
0.8775 0.0344 0.7620
0.8775 0.4656 0.7620
0.0136 0.7500 0.4265
0.9864 0.2500 0.5735
```

Principal peaks in the range 15 to 90 degrees two-theta, in order of rising 2θ:
two_theta, intensity
21.85, 777
21.97, 359
26.80, 1000
27.16, 423
34.64, 227
35.07, 380
41.40, 330
41.74, 303
44.43, 210
44.59, 393

***

Record 2
Calculated powder diffractogram
Compound: MgRh3
Radiation: Cu Kα (λ = 1.5418 Å)
Structure: the GGA-PBE geometry in the Materials Project
Neutral-atom scattering factors, no anomalous dispersion.

Atomic structure:
```
MgRh3
1.0
-1.3941 4.4076 2.3843
1.3941 -4.4076 2.3843
1.3941 4.4076 -2.3843
Mg Rh
1 3
Direct
0.0000 0.0000 0.0000
0.4227 0.6687 0.7539
0.4872 0.9872 0.5000
0.9148 0.6687 0.2461
```

Principal peaks in the range 15 to 90 degrees two-theta, in order of rising 2θ:
two_theta, intensity
21.18, 253
37.36, 327
40.95, 387
42.81, 1000
43.14, 551
56.63, 190
67.87, 166
75.87, 175
82.42, 191
83.22, 157

***

Record 3
Calculated powder diffractogram
Compound: LiSb3P6O20
Radiation: Cu Kα (λ = 1.5418 Å)
Structure: the GGA-PBE geometry in the Materials Project
Neutral-atom scattering factors, no anomalous dispersion.

Atomic structure:
```
LiSb3P6O20
1.0
5.3683 -6.9699 0.0000
5.3683 6.9699 0.0000
0.0000 0.0000 12.8230
Li Sb P O
2 6 12 40
Direct
0.0028 0.0028 0.0000
0.9972 0.9972 0.5000
0.2013 0.7987 0.7500
0.2625 0.7375 0.2500
0.3643 0.3643 0.0000
0.6357 0.6357 0.5000
0.7375 0.2625 0.7500
0.7987 0.2013 0.2500
0.1314 0.4012 0.6771
0.2039 0.3093 0.2285
0.2260 0.6439 0.5127
0.3093 0.2039 0.7715
0.3561 0.7740 0.9873
0.4012 0.1314 0.3229
0.5988 0.8686 0.8229
0.6439 0.2260 0.4873
0.6907 0.7961 0.2715
0.7740 0.3561 0.0127
0.7961 0.6907 0.7285
0.8686 0.5988 0.1771
0.0117 0.7381 0.1775
0.0517 0.2345 0.2854
0.1402 0.5289 0.7562
0.1485 0.4682 0.5607
0.1572 0.7638 0.5707
0.1756 0.6230 0.3995
0.2202 0.2197 0.1243
0.2197 0.2202 0.8757
0.2345 0.0517 0.7146
0.2362 0.8428 0.9293
0.2433 0.4845 0.2024
0.2619 0.9883 0.3225
0.2890 0.3394 0.6898
0.3271 0.5953 0.9691
0.3394 0.2890 0.3102
0.3770 0.8244 0.1005
0.4047 0.6729 0.5309
0.4682 0.1485 0.4393
0.4711 0.8598 0.7438
0.4845 0.2433 0.7976
0.5155 0.7567 0.2976
0.5289 0.1402 0.2438
0.5318 0.8515 0.9393
0.5953 0.3271 0.0309
0.6230 0.1756 0.6005
0.6606 0.7110 0.8102
0.6729 0.4047 0.4691
0.7110 0.6606 0.1898
0.7381 0.0117 0.8225
0.7567 0.5155 0.7024
0.7638 0.1572 0.4293
0.7655 0.9483 0.2146
0.7803 0.7798 0.3757
0.7798 0.7803 0.6243
0.8244 0.3770 0.8995
0.8428 0.2362 0.0707
0.8515 0.5318 0.0607
0.8598 0.4711 0.2562
0.9483 0.7655 0.7854
0.9883 0.2619 0.6775
```

Principal peaks in the range 15 to 90 degrees two-theta, in order of rising 2θ:
two_theta, intensity
17.32, 443
18.81, 294
20.89, 1000
22.00, 986
25.12, 421
27.83, 371
29.63, 200
31.39, 300
35.05, 276
37.28, 215

***

Record 4
Calculated powder diffractogram
Compound: Be2PtRh
Radiation: Cu Kα (λ = 1.5418 Å)
Structure: the GGA-PBE geometry in the Materials Project
Neutral-atom scattering factors, no anomalous dispersion.

Atomic structure:
```
Be2PtRh
1.0
0.0000 2.8115 2.8115
2.8115 0.0000 2.8115
2.8115 2.8115 0.0000
Be Pt Rh
2 1 1
Direct
0.2500 0.2500 0.2500
0.7500 0.7500 0.7500
0.0000 0.0000 0.0000
0.5000 0.5000 0.5000
```

Principal peaks in the range 15 to 90 degrees two-theta, in order of rising 2θ:
two_theta, intensity
27.47, 170
31.83, 1000
45.63, 872
54.09, 87
56.71, 262
66.51, 142
73.40, 37
75.63, 335
84.39, 300

***

Record 5
Calculated powder diffractogram
Compound: Y5BiPt2
Radiation: Cu Kα (λ = 1.5418 Å)
Structure: the GGA-PBE geometry in the Materials Project
Neutral-atom scattering factors, no anomalous dispersion.

Atomic structure:
```
Y5BiPt2
1.0
-3.9075 3.9075 6.9725
3.9075 -3.9075 6.9725
3.9075 3.9075 -6.9725
Y Bi Pt
10 2 4
Direct
0.0000 0.0000 0.0000
0.0197 0.5197 0.8126
0.2071 0.0197 0.5000
0.2929 0.7929 0.8126
0.4803 0.2929 0.5000
0.5000 0.5000 0.0000
0.5197 0.7071 0.5000
0.7071 0.2071 0.1874
0.7929 0.9803 0.5000
0.9803 0.4803 0.1874
0.2500 0.2500 0.0000
0.7500 0.7500 0.0000
0.1383 0.3617 0.5000
0.3617 0.8617 0.2233
0.6383 0.1383 0.7767
0.8617 0.6383 0.5000
```

Principal peaks in the range 15 to 90 degrees two-theta, in order of rising 2θ:
two_theta, intensity
20.51, 353
30.31, 128
32.04, 1000
34.48, 202
36.35, 651
41.42, 292
42.18, 130
44.96, 151
65.53, 212
67.63, 166

***

Record 6
Calculated powder diffractogram
Compound: AlCuO3
Radiation: Cu Kα (λ = 1.5418 Å)
Structure: the GGA-PBE geometry in the Materials Project
Neutral-atom scattering factors, no anomalous dispersion.

Atomic structure:
```
AlCuO3
1.0
5.6486 0.0000 0.0000
-2.8243 4.8918 0.0000
0.0000 0.0000 10.4888
Al Cu O
6 6 18
Direct
0.0000 0.0000 0.0000
0.0000 0.0000 0.5000
0.3333 0.6667 0.4763
0.3333 0.6667 0.9763
0.6667 0.3333 0.4763
0.6667 0.3333 0.9763
0.0000 0.3303 0.2392
0.0000 0.6697 0.7392
0.3303 0.0000 0.2392
0.3303 0.3303 0.7392
0.6697 0.0000 0.7392
0.6697 0.6697 0.2392
0.0000 0.0000 0.1806
0.0000 0.0000 0.6806
0.0000 0.2885 0.4150
0.0000 0.4008 0.0662
0.0000 0.5992 0.5662
0.0000 0.7115 0.9150
0.2885 0.0000 0.4150
0.2885 0.2885 0.9150
0.3333 0.6667 0.2818
0.3333 0.6667 0.7818
0.4008 0.0000 0.0662
0.4008 0.4008 0.5662
0.5992 0.0000 0.5662
0.5992 0.5992 0.0662
0.6667 0.3333 0.2818
0.6667 0.3333 0.7818
0.7115 0.0000 0.9150
0.7115 0.7115 0.4150
```

Principal peaks in the range 15 to 90 degrees two-theta, in order of rising 2θ:
two_theta, intensity
16.91, 198
32.84, 1000
34.19, 236
36.12, 231
41.08, 136
54.49, 241
56.43, 319
62.48, 153
66.85, 95
67.66, 191

***

Record 7
Calculated powder diffractogram
Compound: LiSi
Radiation: Cu Kα (λ = 1.5418 Å)
Structure: the GGA-PBE geometry in the Materials Project
Neutral-atom scattering factors, no anomalous dispersion.

Atomic structure:
```
LiSi
1.0
-4.6636 4.6636 2.8704
4.6636 -4.6636 2.8704
4.6636 4.6636 -2.8704
Li Si
8 8
Direct
0.0266 0.3312 0.9665
0.1353 0.9399 0.4665
0.1688 0.6353 0.6954
0.4399 0.4734 0.8046
0.5601 0.5266 0.1954
0.8312 0.3647 0.3046
0.8647 0.0601 0.5335
0.9734 0.6688 0.0335
0.0473 0.9839 0.8420
0.2947 0.4527 0.4367
0.3580 0.7947 0.3420
0.4839 0.1420 0.9367
0.5161 0.8580 0.0633
0.6420 0.2053 0.6580
0.7053 0.5473 0.5633
0.9527 0.0161 0.1580
```

Principal peaks in the range 15 to 90 degrees two-theta, in order of rising 2θ:
two_theta, intensity
18.15, 233
19.03, 263
26.41, 1000
42.97, 117
43.39, 353
44.02, 597
51.51, 297
52.62, 154
70.50, 114
80.06, 159

***

Record 8
Calculated powder diffractogram
Compound: Sr2LiH8O6
Radiation: Cu Kα (λ = 1.5418 Å)
Structure: the GGA-PBE geometry in the Materials Project
Neutral-atom scattering factors, no anomalous dispersion.

Atomic structure:
```
Sr2LiH8O6
1.0
3.9944 0.0000 0.0000
0.0102 5.8656 0.0000
0.0158 0.8084 8.8263
Sr Li H O
2 1 8 6
Direct
0.0000 0.0000 0.0000
0.0039 0.4505 0.4097
0.5036 0.2809 0.6768
0.1977 0.7814 0.6924
0.2015 0.5182 0.0761
0.4993 0.3526 0.9323
0.5003 0.6745 0.8949
0.5034 0.7327 0.5210
0.5054 0.0725 0.4214
0.7978 0.5182 0.0765
0.8065 0.7808 0.6924
0.9999 0.4284 0.1229
0.0015 0.8627 0.7342
0.5000 0.2048 0.8894
0.4997 0.6801 0.0050
0.5034 0.6177 0.6099
0.5044 0.2206 0.4652
```

Principal peaks in the range 15 to 90 degrees two-theta, in order of rising 2θ:
two_theta, intensity
17.43, 745
18.97, 1000
20.12, 702
22.26, 353
28.40, 411
29.40, 809
37.98, 270
38.17, 621
42.21, 228
45.41, 235